[1]
Structure and theoretical powder diffractogram of Re3Pb2O10 (the PBE geometry in Alexandria; CuKα).

Top 6 peaks for 2θ = 15–90°, by angle:
| 2theta | Rel. int. |
| --- | --- |
| 28.07 | 100 |
| 28.32 | 44 |
| 28.63 | 59 |
| 31.19 | 18 |
| 53.19 | 16 |
| 55.22 | 17 |

Cell and atoms:
```
Re3Pb2O10
1.0
9.3489 -2.8677 0.0000
9.3489 2.8677 0.0000
-3.0315 0.0000 7.1722
Re Pb O
6 4 20
direct
0.2183 0.7817 0.0000
0.3160 0.3160 0.9816
0.4176 0.4176 0.5271
0.5824 0.5824 0.4729
0.6840 0.6840 0.0184
0.7817 0.2183 0.0000
0.0984 0.0984 0.7167
0.1986 0.1986 0.3151
0.8014 0.8014 0.6849
0.9016 0.9016 0.2833
0.0000 0.5000 0.0000
0.0245 0.0245 0.2133
0.1110 0.6092 0.5363
0.1416 0.6423 0.9814
0.2718 0.2718 0.7290
0.2857 0.7143 0.5000
0.3577 0.8584 0.0186
0.3686 0.3686 0.2600
0.3908 0.8890 0.4637
0.4734 0.4734 0.8124
0.5000 0.0000 0.0000
0.5266 0.5266 0.1876
0.6092 0.1110 0.5363
0.6314 0.6314 0.7400
0.6423 0.1416 0.9814
0.7143 0.2857 0.5000
0.7282 0.7282 0.2710
0.8584 0.3577 0.0186
0.8890 0.3908 0.4637
0.9755 0.9755 0.7867
```

[2]
Structure and theoretical powder diffractogram of RbSn3Br12 (the PBE geometry in Alexandria; CuKα).

Top 6 peaks for 2θ = 15–90°, by angle:
| 2theta | Rel. int. |
| --- | --- |
| 16.12 | 100 |
| 17.78 | 81 |
| 24.47 | 43 |
| 27.09 | 50 |
| 27.76 | 88 |
| 52.02 | 35 |

Cell and atoms:
```
RbSn3Br12
1.0
13.7063 0.0000 0.0000
-6.8532 11.8700 0.0000
0.0000 0.0000 9.2103
Rb Sn Br
2 6 24
direct
0.3333 0.6667 0.2500
0.6667 0.3333 0.7500
0.1003 0.7328 0.7500
0.2672 0.3674 0.7500
0.3674 0.1003 0.2500
0.6326 0.8997 0.7500
0.7328 0.6326 0.2500
0.8997 0.2672 0.2500
0.0063 0.8507 0.7500
0.0239 0.4817 0.2500
0.1493 0.1557 0.7500
0.1557 0.0063 0.2500
0.2116 0.4401 0.5293
0.2116 0.4401 0.9707
0.2286 0.7884 0.5293
0.2286 0.7884 0.9707
0.4401 0.2286 0.0293
0.4401 0.2286 0.4707
0.4578 0.9761 0.2500
0.4817 0.4578 0.7500
0.5183 0.5422 0.2500
0.5422 0.0239 0.7500
0.5599 0.7714 0.5293
0.5599 0.7714 0.9707
0.7714 0.2116 0.0293
0.7714 0.2116 0.4707
0.7884 0.5599 0.0293
0.7884 0.5599 0.4707
0.8443 0.9937 0.7500
0.8507 0.8443 0.2500
0.9761 0.5183 0.7500
0.9937 0.1493 0.2500
```

[3]
Structure and theoretical powder diffractogram of TbSnBr5 (the PBE geometry in Alexandria; CuKα).

Top 6 peaks for 2θ = 15–90°, by angle:
| 2theta | Rel. int. |
| --- | --- |
| 27.01 | 64 |
| 29.73 | 100 |
| 29.80 | 62 |
| 38.51 | 51 |
| 40.73 | 58 |
| 42.20 | 50 |

Cell and atoms:
```
TbSnBr5
1.0
8.4478 0.0000 0.0000
0.0000 4.2826 0.0000
-1.0431 0.0000 13.9234
Tb Sn Br
2 2 10
direct
0.0893 0.2500 0.1466
0.9107 0.7500 0.8534
0.4049 0.7500 0.3647
0.5951 0.2500 0.6353
0.1042 0.2500 0.7971
0.1463 0.2500 0.3594
0.1764 0.7500 0.0140
0.3543 0.7500 0.5679
0.4177 0.2500 0.1798
0.5823 0.7500 0.8202
0.6457 0.2500 0.4321
0.8236 0.2500 0.9860
0.8537 0.7500 0.6406
0.8958 0.7500 0.2029
```

[4]
Structure and theoretical powder diffractogram of ThGe2Bi2Pt7 (the PBE geometry in Alexandria; CuKα).

Top 6 peaks for 2θ = 15–90°, by angle:
| 2theta | Rel. int. |
| --- | --- |
| 31.59 | 52 |
| 33.16 | 53 |
| 35.64 | 100 |
| 42.75 | 76 |
| 44.48 | 89 |
| 61.73 | 38 |

Cell and atoms:
```
ThGe2Bi2Pt7
1.0
2.8808 -2.8805 0.0000
2.8808 2.8805 0.0000
-2.8649 0.0000 15.5801
Th Ge Bi Pt
1 2 2 7
direct
0.0000 0.0000 0.0000
0.3800 0.3800 0.7597
0.6200 0.6200 0.2403
0.2112 0.2112 0.4225
0.7888 0.7888 0.5775
0.0715 0.5712 0.1435
0.3005 0.3005 0.6033
0.4288 0.9285 0.8565
0.5000 0.5000 0.0000
0.5712 0.0715 0.1435
0.6995 0.6995 0.3967
0.9285 0.4288 0.8565
```

[5]
Structure and theoretical powder diffractogram of Na2TlPd2O6 (the PBE geometry in Alexandria; CuKα).

Top 6 peaks for 2θ = 15–90°, by angle:
| 2theta | Rel. int. |
| --- | --- |
| 16.12 | 100 |
| 32.28 | 28 |
| 32.56 | 19 |
| 33.52 | 28 |
| 38.31 | 22 |
| 38.88 | 41 |

Cell and atoms:
```
Na2TlPd2O6
1.0
2.8242 -4.8758 0.0000
2.8242 4.8758 0.0000
-1.9814 0.0000 5.4984
Na Tl Pd O
2 1 2 6
direct
0.1699 0.8301 0.0000
0.8301 0.1699 0.0000
0.0000 0.0000 0.5000
0.3366 0.6634 0.5000
0.6634 0.3366 0.5000
0.0487 0.4222 0.6961
0.2842 0.2842 0.3009
0.4222 0.0487 0.6961
0.5778 0.9513 0.3039
0.7158 0.7158 0.6991
0.9513 0.5778 0.3039
```

[6]
Structure and theoretical powder diffractogram of Ac2Zn3Ge4 (the PBE geometry in Alexandria; CuKα).

Top 6 peaks for 2θ = 15–90°, by angle:
| 2theta | Rel. int. |
| --- | --- |
| 19.03 | 22 |
| 31.24 | 40 |
| 33.45 | 100 |
| 34.75 | 44 |
| 35.37 | 19 |
| 36.87 | 42 |

Cell and atoms:
```
Ac2Zn3Ge4
1.0
3.0364 -8.0091 0.0000
3.0364 8.0091 0.0000
0.0000 0.0000 8.1805
Ac Zn Ge
4 6 8
direct
0.1159 0.8841 0.9172
0.3841 0.6159 0.4172
0.6159 0.3841 0.5828
0.8841 0.1159 0.0828
0.0000 0.0000 0.5000
0.0380 0.4620 0.7500
0.4620 0.0380 0.2500
0.5000 0.5000 0.0000
0.5380 0.9620 0.7500
0.9620 0.5380 0.2500
0.1925 0.8075 0.5491
0.1993 0.3007 0.7500
0.3007 0.1993 0.2500
0.3075 0.6925 0.0491
0.6925 0.3075 0.9509
0.6993 0.8007 0.7500
0.8007 0.6993 0.2500
0.8075 0.1925 0.4509
```

[7]
Structure and theoretical powder diffractogram of Dy2Fe17H3 (the PBE geometry in Alexandria; CuKα).

Top 6 peaks for 2θ = 15–90°, by angle:
| 2theta | Rel. int. |
| --- | --- |
| 30.25 | 45 |
| 36.49 | 41 |
| 41.11 | 34 |
| 42.38 | 66 |
| 42.85 | 100 |
| 44.23 | 32 |

Cell and atoms:
```
Dy2Fe17H3
1.0
8.5309 0.0000 0.0000
-4.2654 7.3880 0.0000
0.0000 0.0000 8.1909
Dy Fe H
4 34 6
direct
0.0000 0.0000 0.2500
0.0000 0.0000 0.7500
0.3333 0.6667 0.2500
0.6667 0.3333 0.7500
0.0000 0.5000 0.0000
0.0000 0.5000 0.5000
0.0480 0.3770 0.7500
0.0480 0.6711 0.7500
0.1667 0.3334 0.0157
0.1667 0.3334 0.4843
0.1667 0.8333 0.0157
0.1667 0.8333 0.4843
0.3289 0.3770 0.7500
0.3289 0.9520 0.7500
0.3334 0.1667 0.5157
0.3334 0.1667 0.9843
0.3333 0.6667 0.6056
0.3333 0.6667 0.8944
0.3770 0.0480 0.2500
0.3770 0.3289 0.2500
0.5000 0.0000 0.0000
0.5000 0.0000 0.5000
0.5000 0.5000 0.0000
0.5000 0.5000 0.5000
0.6230 0.6711 0.7500
0.6230 0.9520 0.7500
0.6667 0.3333 0.1056
0.6667 0.3333 0.3944
0.6666 0.8333 0.0157
0.6666 0.8333 0.4843
0.6711 0.0480 0.2500
0.6711 0.6230 0.2500
0.8333 0.1667 0.5157
0.8333 0.1667 0.9843
0.8333 0.6666 0.5157
0.8333 0.6666 0.9843
0.9520 0.3289 0.2500
0.9520 0.6230 0.2500
0.1648 0.3297 0.2500
0.1648 0.8352 0.2500
0.3297 0.1648 0.7500
0.6703 0.8352 0.2500
0.8352 0.1648 0.7500
0.8352 0.6703 0.7500
```

[8]
Structure and theoretical powder diffractogram of TiRe2NiAg (the PBE geometry in Alexandria; CuKα).

Top 6 peaks for 2θ = 15–90°, by angle:
| 2theta | Rel. int. |
| --- | --- |
| 19.43 | 36 |
| 34.69 | 100 |
| 39.44 | 29 |
| 40.67 | 53 |
| 57.95 | 37 |
| 70.18 | 26 |

Cell and atoms:
```
TiRe2NiAg
1.0
4.4364 0.0000 0.0000
0.0000 4.4364 0.0000
0.0000 0.0000 4.5691
Ti Re Ni Ag
1 2 1 1
direct
0.0000 0.0000 0.0000
0.0000 0.5000 0.5000
0.5000 0.0000 0.5000
0.5000 0.5000 0.5000
0.5000 0.5000 0.0000
```